No. 1
Theoretical powder diffraction line list of Fe5O7F3 for Cu Kα, 1.54184 Å, from a crystal structure in the Materials Project, relaxed with GGA+U.
Lines closer than 0.1° are merged.

Most intense lines, 2θ = 5–70°, sorted by position:
d = 3.293 Å, rel. 100; d = 2.547 Å, rel. 54; d = 2.328 Å, rel. 9; d = 2.234 Å, rel. 16; d = 1.719 Å, rel. 36; d = 1.717 Å, rel. 22; d = 1.644 Å, rel. 8; d = 1.521 Å, rel. 9; d = 1.383 Å, rel. 19; d = 1.381 Å, rel. 11

Cell lengths 4.6553, 4.6585, 15.2078 Å; angles 90.02, 90.00, 90.16 degrees
Atoms (fractional coordinates):
Fe 0.0000 0.0000 0.0000
Fe 0.0037 0.9942 0.8056
Fe 0.0143 0.0177 0.3984
Fe 0.0219 0.0260 0.6016
Fe 0.0517 0.0411 0.1939
Fe 0.4831 0.5406 0.3065
Fe 0.4999 0.5579 0.6933
Fe 0.5234 0.5200 0.1016
Fe 0.5358 0.5316 0.8990
Fe 0.5446 0.4952 0.5001
O 0.1956 0.8408 0.7001
O 0.2027 0.8486 0.2992
O 0.2071 0.8137 0.9043
O 0.2183 0.8241 0.0972
O 0.3209 0.3172 0.4023
O 0.3257 0.3247 0.6002
O 0.3351 0.3510 0.2002
O 0.6930 0.7141 0.7966
O 0.7064 0.7000 0.0037
O 0.7167 0.7146 0.3999
O 0.7235 0.7191 0.5973
O 0.8161 0.2064 0.9030
O 0.8270 0.2159 0.0984
O 0.8412 0.1983 0.4999
F 0.2256 0.8146 0.4998
F 0.3080 0.3246 0.7986
F 0.3194 0.3159 0.9987
F 0.7182 0.7355 0.2037
F 0.8092 0.2263 0.7033
F 0.8187 0.2338 0.2962

---

No. 2
Theoretical powder diffraction line list of FeOF for Cu Kα, 1.54184 Å, from a crystal structure in the Materials Project, relaxed with GGA+U.
Lines closer than 0.1° are merged.

Most intense lines, 2θ = 5–70°, sorted by position:
d = 3.359 Å, rel. 100; d = 2.580 Å, rel. 53; d = 2.267 Å, rel. 19; d = 2.124 Å, rel. 6; d = 1.747 Å, rel. 56; d = 1.680 Å, rel. 15; d = 1.536 Å, rel. 10; d = 1.409 Å, rel. 10; d = 1.406 Å, rel. 9; d = 1.397 Å, rel. 12

Cell lengths 4.7434, 4.7574, 12.2905 Å; angles 90.00, 90.00, 90.00 degrees
Atoms (fractional coordinates):
Fe 0.2031 0.0000 0.4369
Fe 0.2219 0.0193 0.9383
Fe 0.2293 0.0114 0.6879
Fe 0.2677 0.9374 0.1871
Fe 0.7323 0.4374 0.8129
Fe 0.7707 0.5114 0.3121
Fe 0.7781 0.5193 0.0617
Fe 0.7969 0.5000 0.5631
O 0.0590 0.8116 0.5650
O 0.0639 0.7984 0.3119
O 0.0697 0.8022 0.0599
O 0.4240 0.1743 0.8132
O 0.5760 0.6743 0.1868
O 0.9303 0.3022 0.9401
O 0.9361 0.2984 0.6881
O 0.9410 0.3116 0.4350
F 0.0346 0.7909 0.8132
F 0.4455 0.2025 0.5606
F 0.4531 0.1879 0.3113
F 0.4535 0.1903 0.0645
F 0.5469 0.6879 0.6887
F 0.5465 0.6903 0.9355
F 0.5545 0.7025 0.4394
F 0.9654 0.2909 0.1868

---

No. 3
Theoretical powder diffraction line list of MnC6O6 for Cu Kα, 1.54184 Å, from a crystal structure in the Materials Project, relaxed with GGA+U.
Lines closer than 0.1° are merged.

Most intense lines, 2θ = 5–70°, sorted by position:
d = 9.972 Å, rel. 22; d = 7.437 Å, rel. 71; d = 6.287 Å, rel. 51; d = 6.109 Å, rel. 35; d = 5.017 Å, rel. 34; d = 4.986 Å, rel. 100; d = 4.275 Å, rel. 31; d = 3.954 Å, rel. 23; d = 3.693 Å, rel. 21; d = 2.493 Å, rel. 16

Cell lengths 8.8069, 8.8069, 19.9557 Å; angles 91.05, 91.05, 116.06 degrees
Atoms (fractional coordinates):
Mn 0.0000 0.5000 0.0000
Mn 0.5000 0.0000 0.5000
C 0.0278 0.7290 0.0006
C 0.1061 0.8933 0.0004
C 0.1067 0.8939 0.4996
C 0.1084 0.4840 0.7554
C 0.2710 0.9722 0.4994
C 0.4840 0.1084 0.2554
C 0.5160 0.8916 0.7446
C 0.7290 0.0278 0.5006
C 0.8916 0.5160 0.2446
C 0.8933 0.1061 0.5004
C 0.8939 0.1067 0.9996
C 0.9722 0.2710 0.9994
O 0.0415 0.3748 0.7174
O 0.0433 0.1846 0.5002
O 0.1846 0.0433 0.0002
O 0.3381 0.5298 0.2481
O 0.3748 0.0415 0.2174
O 0.4702 0.6619 0.2519
O 0.5298 0.3381 0.7481
O 0.6252 0.9585 0.7826
O 0.6619 0.4702 0.7519
O 0.8154 0.9567 0.9998
O 0.9567 0.8154 0.4998
O 0.9585 0.6252 0.2826

---

No. 4
Theoretical powder diffraction line list of BaNdCo2O5 for Cu Kα, 1.54184 Å, from a crystal structure in the Materials Project, relaxed with GGA+U.
Lines closer than 0.1° are merged.

Most intense lines, 2θ = 5–70°, sorted by position:
d = 3.958 Å, rel. 15; d = 2.799 Å, rel. 43; d = 2.775 Å, rel. 100; d = 2.272 Å, rel. 18; d = 1.979 Å, rel. 29; d = 1.946 Å, rel. 11; d = 1.611 Å, rel. 38; d = 1.598 Å, rel. 21; d = 1.399 Å, rel. 9; d = 1.387 Å, rel. 13

Cell lengths 3.9583, 3.9583, 7.7829 Å; angles 90.00, 90.00, 90.00 degrees
Atoms (fractional coordinates):
Ba 0.0000 0.0000 0.0000
Nd 0.0000 0.0000 0.5000
Co 0.5000 0.5000 0.2548
Co 0.5000 0.5000 0.7452
O 0.0000 0.5000 0.3078
O 0.0000 0.5000 0.6922
O 0.5000 0.0000 0.3078
O 0.5000 0.0000 0.6922
O 0.5000 0.5000 0.0000

---

No. 5
Theoretical powder diffraction line list of HoMgNi2O6 for Cu Kα, 1.54184 Å, from a crystal structure in the Materials Project, relaxed with GGA+U.
Lines closer than 0.1° are merged.

Most intense lines, 2θ = 5–70°, sorted by position:
d = 4.362 Å, rel. 35; d = 4.190 Å, rel. 42; d = 3.315 Å, rel. 19; d = 2.710 Å, rel. 17; d = 2.612 Å, rel. 100; d = 2.550 Å, rel. 22; d = 2.201 Å, rel. 18; d = 1.857 Å, rel. 18; d = 1.659 Å, rel. 15; d = 1.484 Å, rel. 23

Cell lengths 7.3493, 5.4204, 5.0997 Å; angles 90.00, 90.00, 90.00 degrees
Atoms (fractional coordinates):
Ho 0.0000 0.1734 0.0000
Ho 0.5000 0.8266 0.5000
Mg 0.0000 0.6777 0.4530
Mg 0.5000 0.3223 0.9530
Ni 0.2503 0.2548 0.4788
Ni 0.2497 0.7452 0.9788
Ni 0.7497 0.2548 0.4788
Ni 0.7503 0.7452 0.9788
O 0.0000 0.3064 0.5875
O 0.0000 0.7815 0.8456
O 0.1831 0.4612 0.1866
O 0.1916 0.9401 0.2938
O 0.3084 0.0599 0.7938
O 0.3169 0.5388 0.6866
O 0.5000 0.2185 0.3456
O 0.5000 0.6936 0.0875
O 0.6831 0.5388 0.6866
O 0.6916 0.0599 0.7938
O 0.8084 0.9401 0.2938
O 0.8169 0.4612 0.1866

---

No. 6
Theoretical powder diffraction line list of Li6V5O12 for Cu Kα, 1.54184 Å, from a crystal structure in the Materials Project, relaxed with GGA+U.
Lines closer than 0.1° are merged.

Most intense lines, 2θ = 5–70°, sorted by position:
d = 9.475 Å, rel. 11; d = 4.240 Å, rel. 100; d = 3.910 Å, rel. 13; d = 3.177 Å, rel. 51; d = 2.470 Å, rel. 10; d = 2.201 Å, rel. 44; d = 2.024 Å, rel. 74; d = 1.507 Å, rel. 20; d = 1.473 Å, rel. 20; d = 1.428 Å, rel. 12

Cell lengths 5.0459, 5.0459, 9.5451 Å; angles 93.66, 93.66, 116.19 degrees
Atoms (fractional coordinates):
Li 0.0000 0.0000 0.0000
Li 0.0633 0.3745 0.2388
Li 0.4016 0.0744 0.2434
Li 0.6255 0.9367 0.7612
Li 0.6717 0.3283 0.0000
Li 0.9256 0.5984 0.7566
V 0.1868 0.8132 0.5000
V 0.2784 0.2532 0.7498
V 0.3298 0.6702 0.0000
V 0.7468 0.7216 0.2502
V 0.8369 0.1631 0.5000
O 0.0195 0.3354 0.8878
O 0.0223 0.6987 0.1235
O 0.0901 0.0609 0.3677
O 0.1854 0.4900 0.6253
O 0.3013 0.9777 0.8765
O 0.3968 0.4110 0.1318
O 0.5100 0.8146 0.3747
O 0.5215 0.1608 0.6227
O 0.5890 0.6032 0.8682
O 0.6646 0.9805 0.1122
O 0.8392 0.4785 0.3773
O 0.9391 0.9099 0.6323

---

No. 7
Theoretical powder diffraction line list of RbSmMo2O8 for Cu Kα, 1.54184 Å, from a crystal structure in the Materials Project, relaxed with GGA+U.
Lines closer than 0.1° are merged.

Most intense lines, 2θ = 5–70°, sorted by position:
d = 9.476 Å, rel. 73; d = 4.025 Å, rel. 38; d = 3.622 Å, rel. 17; d = 3.204 Å, rel. 100; d = 3.124 Å, rel. 51; d = 3.068 Å, rel. 60; d = 2.611 Å, rel. 16; d = 2.003 Å, rel. 44; d = 1.767 Å, rel. 22; d = 1.720 Å, rel. 19

Cell lengths 5.2227, 18.9517, 8.3082 Å; angles 90.00, 90.00, 90.00 degrees
Atoms (fractional coordinates):
Rb 0.0000 0.2308 0.2500
Rb 0.0000 0.7692 0.7500
Rb 0.5000 0.2692 0.7500
Rb 0.5000 0.7308 0.2500
Sm 0.0000 0.0063 0.7500
Sm 0.0000 0.9937 0.2500
Sm 0.5000 0.4937 0.2500
Sm 0.5000 0.5063 0.7500
Mo 0.0226 0.3992 0.5163
Mo 0.0226 0.6008 0.0163
Mo 0.4774 0.1008 0.0163
Mo 0.4774 0.8992 0.5163
Mo 0.5226 0.1008 0.4837
Mo 0.5226 0.8992 0.9837
Mo 0.9774 0.3992 0.9837
Mo 0.9774 0.6008 0.4837
O 0.1010 0.3131 0.9743
O 0.1010 0.6869 0.4743
O 0.2266 0.4006 0.3419
O 0.2266 0.5994 0.8419
O 0.2396 0.4084 0.6863
O 0.2396 0.5916 0.1863
O 0.2470 0.4634 0.0026
O 0.2470 0.5366 0.5026
O 0.2530 0.0366 0.5026
O 0.2530 0.9634 0.0026
O 0.2604 0.0916 0.1863
O 0.2604 0.9084 0.6863
O 0.2734 0.0994 0.8419
O 0.2734 0.9006 0.3419
O 0.3990 0.1869 0.4743
O 0.3990 0.8131 0.9743
O 0.6010 0.1869 0.0257
O 0.6010 0.8131 0.5257
O 0.7266 0.0994 0.6581
O 0.7266 0.9006 0.1581
O 0.7396 0.0916 0.3137
O 0.7396 0.9084 0.8137
O 0.7470 0.0366 0.9974
O 0.7470 0.9634 0.4974
O 0.7530 0.4634 0.4974
O 0.7530 0.5366 0.9974
O 0.7604 0.4084 0.8137
O 0.7604 0.5916 0.3137
O 0.7734 0.4006 0.1581
O 0.7734 0.5994 0.6581
O 0.8990 0.3131 0.5257
O 0.8990 0.6869 0.0257